Simulated powder diffractogram
Compound: PuNiS3
Radiation: Cu Kα (λ = 1.5418 Å)
Structure: a crystal structure in Alexandria, relaxed with GGA-PBE
No peak broadening, texture or thermal motion is included.

Cell and atoms:
a b c (Å): 7.385 3.680 12.656
angles (deg): 90.00 90.00 90.00
Positions (direct):
Pu 0.113 0.250 0.172
Pu 0.387 0.750 0.672
Pu 0.613 0.250 0.328
Pu 0.887 0.750 0.828
Ni 0.167 0.750 0.448
Ni 0.333 0.250 0.948
Ni 0.667 0.750 0.052
Ni 0.833 0.250 0.552
S 0.007 0.750 0.605
S 0.152 0.750 0.002
S 0.177 0.250 0.789
S 0.323 0.750 0.289
S 0.348 0.250 0.502
S 0.493 0.250 0.105
S 0.507 0.750 0.895
S 0.652 0.750 0.498
S 0.677 0.250 0.711
S 0.823 0.750 0.211
S 0.848 0.250 0.998
S 0.993 0.250 0.395

Top 10 peaks for 2θ from 10° to 90°, in order of falling intensity:
Position (°2θ)  d (Å)  Rel. int.
25.16  3.540  100
37.30  2.410  58
24.30  3.663  47
49.52  1.841  39
34.55  2.596  38
43.38  2.086  32
30.60  2.922  30
27.99  3.188  28
30.74  2.908  26
34.40  2.607  19

Simulated powder diffractogram
Compound: PuUNiS4
Radiation: Cu Kα (λ = 1.5418 Å)
Structure: a crystal structure in Alexandria, relaxed with GGA-PBE
No peak broadening, texture or thermal motion is included.

Cell and atoms:
a b c (Å): 6.316 5.807 7.589
angles (deg): 90.00 106.77 90.00
Positions (direct):
Pu 0.248 0.250 0.438
Pu 0.752 0.750 0.562
U 0.255 0.250 0.941
U 0.745 0.750 0.059
Ni 0.264 0.750 0.183
Ni 0.736 0.250 0.817
S 0.066 0.750 0.380
S 0.069 0.750 0.894
S 0.480 0.513 0.751
S 0.480 0.987 0.751
S 0.520 0.013 0.249
S 0.520 0.487 0.249
S 0.931 0.250 0.106
S 0.934 0.250 0.620

Top 10 peaks for 2θ from 10° to 90°, in order of falling intensity:
Position (°2θ)  d (Å)  Rel. int.
21.21  4.188  100
30.80  2.903  43
35.81  2.508  40
36.18  2.482  38
43.20  2.094  37
29.14  3.064  33
28.99  3.080  32
29.54  3.023  29
58.07  1.588  24
32.61  2.746  21

Simulated powder diffractogram
Compound: PuNi4Sb4
Radiation: Cu Kα (λ = 1.5418 Å)
Structure: a crystal structure in Alexandria, relaxed with GGA-PBE
No peak broadening, texture or thermal motion is included.

Cell and atoms:
a b c (Å): 6.520 6.520 8.225
angles (deg): 90.00 90.00 90.00
Positions (direct):
Pu 0.250 0.750 0.250
Pu 0.750 0.250 0.750
Ni 0.058 0.250 0.107
Ni 0.250 0.058 0.607
Ni 0.250 0.442 0.607
Ni 0.442 0.250 0.107
Ni 0.558 0.750 0.893
Ni 0.750 0.558 0.393
Ni 0.750 0.942 0.393
Ni 0.942 0.750 0.893
Sb 0.003 0.250 0.410
Sb 0.250 0.003 0.910
Sb 0.250 0.497 0.910
Sb 0.497 0.250 0.410
Sb 0.503 0.750 0.590
Sb 0.750 0.503 0.090
Sb 0.750 0.997 0.090
Sb 0.997 0.750 0.590

Top 10 peaks for 2θ from 10° to 90°, in order of falling intensity:
Position (°2θ)  d (Å)  Rel. int.
32.58  2.748  100
35.52  2.527  57
53.83  1.703  29
60.30  1.535  25
45.09  2.011  23
29.10  3.069  21
56.45  1.630  18
81.78  1.178  18
29.47  3.031  17
68.48  1.370  16

Simulated powder diffractogram
Compound: PuNiSe
Radiation: Cu Kα (λ = 1.5418 Å)
Structure: a crystal structure in Alexandria, relaxed with GGA-PBE
No peak broadening, texture or thermal motion is included.

Cell and atoms:
a b c (Å): 10.529 3.708 3.708
angles (deg): 59.86 90.00 90.00
Positions (direct):
Pu 0.175 0.000 0.000
Pu 0.825 0.000 0.000
Ni 0.000 0.667 0.667
Ni 0.500 0.997 0.997
Se 0.356 0.667 0.667
Se 0.644 0.667 0.667

Top 10 peaks for 2θ from 10° to 90°, in order of falling intensity:
Position (°2θ)  d (Å)  Rel. int.
37.99  2.368  100
27.80  3.209  56
49.14  1.854  21
32.68  2.740  18
63.82  1.458  15
84.46  1.147  14
60.10  1.540  12
29.09  3.070  12
74.43  1.275  11
25.38  3.510  11